This entry pairs a crystal structure of Mg6NbCoO8 with its computed powder diffraction line list. Radiation: λ = 1.5418 Å (Cu Kα). Structure: a GGA+U-relaxed structure.
Peak positions follow from Bragg's law for the DFT cell and can differ from measured ones.

Peak list (10 most intense, 2θ from 10° to 80°, sorted by position)
d_spacing	2θ (°)	intensity	hkl
8.773	10.08	81	0 0 1
4.386	20.25	21	0 0 2
2.860	31.28	27	1 1 1
2.490	36.07	53	1 1 2
2.193	41.16	54	0 0 4
2.139	42.25	100	2 0 0
1.531	60.46	60	2 0 4
1.513	61.28	29	2 2 0
1.293	73.21	17	3 1 2
1.245	76.51	27	2 2 4

Crystal structure
a b c (Å): 4.278 4.278 8.773
angles (deg): 90.00 90.00 90.00
Space group P4/mmm (No. 123)
Symmetry-distinct sites (fractional):
Mg (0.000, 0.000, 0.000) x1
Mg (0.000, 0.500, 0.245) x4
Mg (0.500, 0.500, 0.000) x1
Nb (0.000, 0.000, 0.500) x1
Co (0.500, 0.500, 0.500) x1
O (0.000, 0.000, 0.243) x2
O (0.000, 0.500, 0.000) x2
O (0.000, 0.500, 0.500) x2
O (0.500, 0.500, 0.238) x2